(1)
Structure and simulated powder XRD pattern of Rb2LiGaCl6 (DFT lattice parameters and positions (GGA-PBE); Cu Kα (λ = 1.5418 Å)).
Kinematic intensities with the Lorentz-polarization factor, no thermal factor.

Crystal structure
Cell: 7.1676 7.1676 6.1660 Å, 90.00 90.00 120.00°
Space group P-3m1 (No. 164)
Unique sites:
Rb1 0.3333 0.6667 0.2200 (multiplicity 2)
Li1 0.0000 0.0000 0.5000 (multiplicity 1)
Ga1 0.0000 0.0000 0.0000 (multiplicity 1)
Cl1 0.1561 0.3121 0.7697 (multiplicity 6)

Most intense lines, 15° ≤ 2θ ≤ 90°, sorted by position:
hkl 0 1 1, 2θ = 20.30°, I = 34
hkl 1 1 0, 2θ = 24.84°, I = 29
hkl 2 0 0, 2θ = 28.79°, I = 19
hkl 0 0 2, 2θ = 28.96°, I = 18
hkl 2 0 1, 2θ = 32.29°, I = 100
hkl 2 0 2, 2θ = 41.28°, I = 35
hkl 1 2 2, 2θ = 48.78°, I = 14
hkl 2 2 0, 2θ = 50.96°, I = 24
hkl 0 2 3, 2θ = 53.47°, I = 21
hkl 0 4 1, 2θ = 61.65°, I = 17

(2)
Structure and simulated powder XRD pattern of Li2ScGaCl6 (DFT lattice parameters and positions (GGA-PBE); Cu Kα (λ = 1.5418 Å)).
Kinematic intensities with the Lorentz-polarization factor, no thermal factor.

Crystal structure
Cell: 6.6593 6.6593 18.4771 Å, 90.00 90.00 120.00°
Space group R3 (No. 146, hexagonal axes)
Unique sites:
Li1 0.0000 0.0000 0.0000 (multiplicity 3)
Li2 0.0000 0.0000 0.4866 (multiplicity 3)
Sc1 0.0000 0.0000 0.8040 (multiplicity 3)
Ga1 0.0000 0.0000 0.2873 (multiplicity 3)
Cl1 0.0033 0.3249 0.7342 (multiplicity 9)
Cl2 0.0698 0.7187 0.5569 (multiplicity 9)

Most intense lines, 15° ≤ 2θ ≤ 90°, sorted by position:
hkl 0 1 2, 2θ = 18.13°, I = 65
hkl 1 0 4, 2θ = 24.69°, I = 38
hkl 2 -1 3, 2θ = 30.52°, I = 100
hkl 2 0 2, 2θ = 32.53°, I = 25
hkl 0 2 4, 2θ = 36.74°, I = 15
hkl 1 1 6, 2θ = 39.87°, I = 62
hkl 1 2 2, 2θ = 42.62°, I = 16
hkl 2 1 4, 2θ = 46.04°, I = 19
hkl 3 0 0, 2θ = 47.28°, I = 37
hkl 2 -1 9, 2θ = 52.35°, I = 19

(3)
Structure and simulated powder XRD pattern of LiTlGa2Cl8 (DFT lattice parameters and positions (GGA-PBE); Cu Kα (λ = 1.5418 Å)).
Kinematic intensities with the Lorentz-polarization factor, no thermal factor.

Crystal structure
Cell: 6.3946 6.3946 27.9579 Å, 90.00 90.00 120.00°
Space group R-3 (No. 148, hexagonal axes)
Unique sites:
Li1 0.0000 0.0000 0.0000 (multiplicity 3)
Tl1 0.0000 0.0000 0.5000 (multiplicity 3)
Ga1 0.0000 0.0000 0.2538 (multiplicity 6)
Cl1 0.0000 0.0000 0.1749 (multiplicity 6)
Cl2 0.0009 0.3302 0.7230 (multiplicity 18)

Most intense lines, 15° ≤ 2θ ≤ 90°, sorted by position:
hkl 1 0 1, 2θ = 16.32°, I = 39
hkl 1 0 4, 2θ = 20.46°, I = 100
hkl 1 1 0, 2θ = 27.90°, I = 43
hkl 0 0 9, 2θ = 28.74°, I = 35
hkl 1 1 3, 2θ = 29.54°, I = 92
hkl 0 1 8, 2θ = 30.24°, I = 29
hkl 2 -1 6, 2θ = 34.01°, I = 30
hkl 2 1 4, 2θ = 45.22°, I = 33
hkl 1 1 12, 2θ = 48.34°, I = 42
hkl 3 0 0, 2θ = 49.37°, I = 34

(4)
Structure and simulated powder XRD pattern of NaMgGa2Cl8 (DFT lattice parameters and positions (GGA-PBE); Cu Kα (λ = 1.5418 Å)).
Kinematic intensities with the Lorentz-polarization factor, no thermal factor.

Crystal structure
Cell: 6.6020 6.6020 8.7938 Å, 90.00 90.00 120.00°
Space group P-3 (No. 147)
Unique sites:
Na1 0.0000 0.0000 0.0000 (multiplicity 1)
Mg1 0.0000 0.0000 0.5000 (multiplicity 1)
Ga1 0.3333 0.6667 0.7387 (multiplicity 2)
Cl1 0.0025 0.3056 0.6756 (multiplicity 6)
Cl2 0.3333 0.6667 0.9920 (multiplicity 2)

Most intense lines, 15° ≤ 2θ ≤ 90°, sorted by position:
hkl 0 1 1, 2θ = 18.51°, I = 100
hkl 1 1 0, 2θ = 27.01°, I = 28
hkl 1 1 1, 2θ = 28.89°, I = 68
hkl 0 0 3, 2θ = 30.50°, I = 25
hkl 2 0 1, 2θ = 32.95°, I = 20
hkl 2 -1 2, 2θ = 33.96°, I = 25
hkl 3 -2 1, 2θ = 43.11°, I = 23
hkl 3 0 0, 2θ = 47.72°, I = 42
hkl 1 1 4, 2θ = 49.84°, I = 39
hkl 3 0 3, 2θ = 57.70°, I = 17

(5)
Structure and simulated powder XRD pattern of MnGa2Cl8 (DFT lattice parameters and positions (GGA-PBE); Cu Kα (λ = 1.5418 Å)).
Kinematic intensities with the Lorentz-polarization factor, no thermal factor.

Crystal structure
Cell: 17.799 8.774 11.807 Å, 90.00 128.56 90.00°
Space group C2/c (No. 15)
Unique sites:
Mn1 0.000 0.009 0.250 (multiplicity 4)
Ga1 0.084 0.240 0.535 (multiplicity 8)
Cl1 0.065 0.214 0.173 (multiplicity 8)
Cl2 0.086 0.209 0.725 (multiplicity 8)
Cl3 0.149 0.036 0.510 (multiplicity 8)
Cl4 0.151 0.451 0.555 (multiplicity 8)

Most intense lines, 15° ≤ 2θ ≤ 90°, sorted by position:
hkl 1 1 1, 2θ = 17.65°, I = 59
hkl 3 1 -1, 2θ = 18.20°, I = 100
hkl 2 2 0, 2θ = 23.98°, I = 31
hkl 3 1 -3, 2θ = 24.82°, I = 48
hkl 2 2 -2, 2θ = 25.31°, I = 43
hkl 4 2 -2, 2θ = 28.77°, I = 79
hkl 2 0 2, 2θ = 29.13°, I = 37
hkl 6 2 -4, 2θ = 39.56°, I = 40
hkl 0 4 0, 2θ = 41.12°, I = 44
hkl 6 2 0, 2θ = 44.16°, I = 54

(6)
Structure and simulated powder XRD pattern of MnGa6Cl12 (DFT lattice parameters and positions (GGA-PBE); Cu Kα (λ = 1.5418 Å)).
Kinematic intensities with the Lorentz-polarization factor, no thermal factor.

Crystal structure
Cell: 7.2841 7.2841 37.0069 Å, 90.00 90.00 120.00°
Space group R-3 (No. 148, hexagonal axes)
Unique sites:
Mn1 0.0000 0.0000 0.0000 (multiplicity 3)
Ga1 0.0583 0.5288 0.4319 (multiplicity 18)
Cl1 0.0035 0.5026 0.6297 (multiplicity 18)
Cl2 0.0071 0.5039 0.7861 (multiplicity 18)

Most intense lines, 15° ≤ 2θ ≤ 90°, sorted by position:
hkl 1 0 4, 2θ = 17.01°, I = 52
hkl 0 0 9, 2θ = 21.61°, I = 53
hkl 1 1 0, 2θ = 24.44°, I = 20
hkl 0 2 1, 2θ = 28.41°, I = 70
hkl 2 0 5, 2θ = 30.82°, I = 100
hkl 2 1 1, 2θ = 37.81°, I = 22
hkl 3 -2 5, 2θ = 39.72°, I = 21
hkl 0 3 3, 2θ = 43.67°, I = 19
hkl 2 0 14, 2θ = 44.73°, I = 50
hkl 2 2 0, 2θ = 50.09°, I = 38

(7)
Structure and simulated powder XRD pattern of GaN2Cl4 (DFT lattice parameters and positions (GGA-PBE); Cu Kα (λ = 1.5418 Å)).
Kinematic intensities with the Lorentz-polarization factor, no thermal factor.

Crystal structure
Cell: 3.945 3.975 14.308 Å, 97.43 91.67 113.50°
Space group P-1 (No. 2)
Unique sites:
Ga1 0.000 0.000 0.000 (multiplicity 1)
N1 0.030 0.775 0.339 (multiplicity 2)
Cl1 0.383 0.704 0.091 (multiplicity 2)
Cl2 0.392 0.147 0.373 (multiplicity 2)

Most intense lines, 15° ≤ 2θ ≤ 90°, sorted by position:
hkl 0 0 3, 2θ = 18.84°, I = 100
hkl 0 1 0, 2θ = 24.71°, I = 24
hkl 1 0 -1, 2θ = 24.95°, I = 31
hkl 1 -1 2, 2θ = 29.13°, I = 73
hkl 0 1 2, 2θ = 29.51°, I = 37
hkl 1 0 -3, 2θ = 29.85°, I = 31
hkl 0 1 3, 2θ = 33.56°, I = 22
hkl 1 0 -4, 2θ = 33.92°, I = 37
hkl 1 -1 5, 2θ = 40.74°, I = 24
hkl 1 1 -2, 2θ = 42.14°, I = 18

(8)
Structure and simulated powder XRD pattern of GaSe2NCl (DFT lattice parameters and positions (GGA-PBE); Cu Kα (λ = 1.5418 Å)).
Kinematic intensities with the Lorentz-polarization factor, no thermal factor.

Crystal structure
Cell: 5.328 5.328 3.578 Å, 90.00 90.00 90.00°
Space group P4/mmm (No. 123)
Unique sites:
Ga1 0.000 0.000 0.000 (multiplicity 1)
Se1 0.000 0.500 0.000 (multiplicity 2)
N1 0.000 0.000 0.500 (multiplicity 1)
Cl1 0.500 0.500 0.500 (multiplicity 1)

Most intense lines, 15° ≤ 2θ ≤ 90°, sorted by position:
hkl 0 0 1, 2θ = 24.89°, I = 45
hkl 1 0 1, 2θ = 30.09°, I = 31
hkl 2 0 0, 2θ = 33.64°, I = 100
hkl 1 1 1, 2θ = 34.57°, I = 42
hkl 2 0 1, 2θ = 42.30°, I = 45
hkl 2 1 1, 2θ = 45.75°, I = 19
hkl 2 2 0, 2θ = 48.31°, I = 34
hkl 2 2 1, 2θ = 55.10°, I = 21
hkl 2 0 2, 2θ = 62.54°, I = 30
hkl 2 2 2, 2θ = 72.92°, I = 19

(9)
Structure and simulated powder XRD pattern of NaGaCl4 (DFT lattice parameters and positions (GGA-PBE); Cu Kα (λ = 1.5418 Å)).
Kinematic intensities with the Lorentz-polarization factor, no thermal factor.

Crystal structure
Cell: 6.350 10.603 11.020 Å, 90.00 90.00 90.00°
Space group P2_12_12_1 (No. 19)
Unique sites:
Na1 0.132 0.024 0.136 (multiplicity 4)
Ga1 0.097 0.236 0.788 (multiplicity 4)
Cl1 0.202 0.409 0.881 (multiplicity 4)
Cl2 0.217 0.063 0.878 (multiplicity 4)
Cl3 0.223 0.225 0.602 (multiplicity 4)
Cl4 0.250 0.265 0.212 (multiplicity 4)

Most intense lines, 15° ≤ 2θ ≤ 90°, sorted by position:
hkl 0 0 2, 2θ = 16.10°, I = 100
hkl 0 2 0, 2θ = 16.72°, I = 38
hkl 1 1 1, 2θ = 18.16°, I = 50
hkl 0 2 2, 2θ = 23.29°, I = 88
hkl 0 1 3, 2θ = 25.66°, I = 30
hkl 1 2 2, 2θ = 27.24°, I = 22
hkl 2 0 0, 2θ = 28.10°, I = 25
hkl 2 1 0, 2θ = 29.34°, I = 56
hkl 0 3 5, 2θ = 48.69°, I = 23
hkl 3 3 1, 2θ = 50.95°, I = 27